This entry pairs a crystal structure of K3Nb2O6 with its computed XRD peak list. Radiation: Cu Kα (λ = 1.5418 Å). Structure: the PBE geometry in Alexandria.
Kinematic intensities with the Lorentz-polarization factor, no thermal factor.

Lattice parameters (Å, degrees): 3.991 3.991 22.717 90.00 90.00 90.00
Space group I4/mmm (No. 139)
Symmetry-distinct sites (fractional):
K 0.000 0.000 0.000 (multiplicity 2)
K 0.000 0.000 0.191 (multiplicity 4)
Nb 0.000 0.000 0.395 (multiplicity 4)
O 0.000 0.000 0.314 (multiplicity 4)
O 0.000 0.500 0.087 (multiplicity 8)

Peak list (10 most intense, 10° ≤ 2θ ≤ 80°, sorted by position)
| 2θ/deg | I (rel.) | (hkl) |
| --- | --- | --- |
| 15.6 | 40.5 | 0 0 4 |
| 22.6 | 22.8 | 1 0 1 |
| 25.2 | 11.0 | 1 0 3 |
| 29.8 | 100.0 | 1 0 5 |
| 31.7 | 42.8 | 1 1 0 |
| 39.7 | 18.4 | 0 0 10 |
| 45.4 | 31.4 | 2 0 0 |
| 51.7 | 18.8 | 1 1 10 |
| 55.3 | 32.6 | 2 1 5 |
| 61.9 | 17.3 | 2 0 10 |



This entry pairs a crystal structure of K4Nb2O with its computed XRD peak list. Radiation: Cu Kα (λ = 1.5418 Å). Structure: the PBE geometry in Alexandria.
Kinematic intensities with the Lorentz-polarization factor, no thermal factor.

Lattice parameters (Å, degrees): 4.515 4.515 24.204 90.00 90.00 90.00
Space group I4/mmm (No. 139)
Symmetry-distinct sites (fractional):
K 0.000 0.000 0.124 (multiplicity 4)
K 0.000 0.500 0.000 (multiplicity 4)
Nb 0.000 0.000 0.261 (multiplicity 4)
O 0.000 0.000 0.000 (multiplicity 2)

Peak list (10 most intense, 10° ≤ 2θ ≤ 80°, sorted by position)
| 2θ/deg | I (rel.) | (hkl) |
| --- | --- | --- |
| 14.6 | 82.7 | 0 0 4 |
| 27.0 | 21.6 | 1 0 5 |
| 27.9 | 37.0 | 1 1 0 |
| 28.9 | 100.0 | 1 1 2 |
| 29.5 | 43.5 | 0 0 8 |
| 32.6 | 30.0 | 1 0 7 |
| 35.9 | 49.8 | 1 1 6 |
| 39.9 | 42.7 | 2 0 0 |
| 42.7 | 20.7 | 2 0 4 |
| 50.4 | 34.7 | 2 0 8 |



This entry pairs a crystal structure of K2NbO6 with its computed XRD peak list. Radiation: Cu Kα (λ = 1.5418 Å). Structure: the PBE geometry in Alexandria.
Kinematic intensities with the Lorentz-polarization factor, no thermal factor.

Lattice parameters (Å, degrees): 6.446 8.502 7.213 90.00 90.00 90.00
Space group Imm2 (No. 44)
Symmetry-distinct sites (fractional):
K 0.000 0.233 0.000 (multiplicity 4)
Nb 0.000 0.500 0.496 (multiplicity 2)
O 0.000 0.299 0.637 (multiplicity 4)
O 0.165 0.500 0.786 (multiplicity 4)
O 0.233 0.500 0.352 (multiplicity 4)

Peak list (10 most intense, 10° ≤ 2θ ≤ 80°, sorted by position)
| 2θ/deg | I (rel.) | (hkl) |
| --- | --- | --- |
| 16.1 | 100.0 | 0 1 1 |
| 17.3 | 77.6 | 1 1 0 |
| 24.7 | 20.0 | 0 0 2 |
| 27.7 | 22.1 | 2 0 0 |
| 28.0 | 79.6 | 1 2 1 |
| 32.2 | 20.7 | 2 1 1 |
| 37.4 | 31.2 | 2 0 2 |
| 45.6 | 34.1 | 1 2 3 |
| 49.2 | 17.3 | 3 2 1 |
| 57.9 | 18.5 | 2 4 2 |



This entry pairs a crystal structure of K2Nb3O9 with its computed XRD peak list. Radiation: Cu Kα (λ = 1.5418 Å). Structure: the PBE geometry in Alexandria.
Kinematic intensities with the Lorentz-polarization factor, no thermal factor.

Lattice parameters (Å, degrees): 9.448 15.345 9.030 90.00 118.24 90.00
Space group C2/m (No. 12)
Symmetry-distinct sites (fractional):
K 0.092 0.156 0.309 (multiplicity 8)
Nb 0.167 0.381 0.199 (multiplicity 8)
Nb 0.203 0.500 0.886 (multiplicity 4)
O 0.000 0.318 0.000 (multiplicity 4)
O 0.022 0.415 0.768 (multiplicity 8)
O 0.174 0.000 0.215 (multiplicity 4)
O 0.212 0.198 0.645 (multiplicity 8)
O 0.220 0.090 0.932 (multiplicity 8)
O 0.242 0.500 0.298 (multiplicity 4)

Peak list (10 most intense, 10° ≤ 2θ ≤ 80°, sorted by position)
| 2θ/deg | I (rel.) | (hkl) |
| --- | --- | --- |
| 11.1 | 91.5 | 0 0 1 |
| 11.5 | 53.5 | 0 2 0 |
| 12.1 | 55.6 | 1 1 0 |
| 12.6 | 100.0 | 1 1 -1 |
| 16.0 | 53.3 | 0 2 1 |
| 20.7 | 86.4 | 1 3 -1 |
| 22.4 | 57.1 | 0 0 2 |
| 26.3 | 46.6 | 1 3 -2 |
| 30.0 | 46.5 | 2 4 -1 |
| 41.6 | 51.0 | 1 5 2 |



This entry pairs a crystal structure of K2NbO5 with its computed XRD peak list. Radiation: Cu Kα (λ = 1.5418 Å). Structure: the PBE geometry in Alexandria.
Kinematic intensities with the Lorentz-polarization factor, no thermal factor.

Lattice parameters (Å, degrees): 6.185 6.185 4.073 90.00 90.00 90.00
Space group P4/mmm (No. 123)
Symmetry-distinct sites (fractional):
K 0.000 0.500 0.000 (multiplicity 2)
Nb 0.000 0.000 0.500 (multiplicity 1)
O 0.000 0.000 0.000 (multiplicity 1)
O 0.225 0.225 0.500 (multiplicity 4)

Peak list (10 most intense, 10° ≤ 2θ ≤ 80°, sorted by position)
| 2θ/deg | I (rel.) | (hkl) |
| --- | --- | --- |
| 14.3 | 100.0 | 1 0 0 |
| 26.2 | 23.7 | 1 0 1 |
| 28.9 | 19.5 | 2 0 0 |
| 30.0 | 55.4 | 1 1 1 |
| 32.4 | 17.9 | 2 1 0 |
| 39.4 | 9.6 | 2 1 1 |
| 41.3 | 26.5 | 2 2 0 |
| 44.5 | 10.9 | 0 0 2 |
| 51.9 | 20.5 | 3 1 1 |
| 62.3 | 13.2 | 2 2 2 |



This entry pairs a crystal structure of K6Nb11O30 with its computed XRD peak list. Radiation: Cu Kα (λ = 1.5418 Å). Structure: the PBE geometry in Alexandria.
Kinematic intensities with the Lorentz-polarization factor, no thermal factor.

Lattice parameters (Å, degrees): 3.960 18.483 18.472 90.00 90.00 90.00
Space group Amm2 (No. 38)
Symmetry-distinct sites (fractional):
K 0.000 0.000 0.000 (multiplicity 2)
K 0.000 0.000 0.325 (multiplicity 2)
K 0.000 0.180 0.681 (multiplicity 4)
K 0.000 0.241 0.908 (multiplicity 4)
Nb 0.000 0.000 0.534 (multiplicity 2)
Nb 0.500 0.000 0.173 (multiplicity 2)
Nb 0.500 0.000 0.673 (multiplicity 2)
Nb 0.500 0.106 0.850 (multiplicity 4)
Nb 0.500 0.121 0.474 (multiplicity 4)
Nb 0.500 0.173 0.060 (multiplicity 4)
Nb 0.500 0.187 0.265 (multiplicity 4)
O 0.000 0.000 0.161 (multiplicity 2)
O 0.000 0.000 0.643 (multiplicity 2)
O 0.000 0.094 0.479 (multiplicity 4)
O 0.000 0.108 0.839 (multiplicity 4)
O 0.000 0.185 0.270 (multiplicity 4)
O 0.000 0.187 0.050 (multiplicity 4)
O 0.500 0.000 0.458 (multiplicity 2)
O 0.500 0.000 0.872 (multiplicity 2)
O 0.500 0.068 0.576 (multiplicity 4)
O 0.500 0.076 0.084 (multiplicity 4)
O 0.500 0.077 0.242 (multiplicity 4)
O 0.500 0.078 0.734 (multiplicity 4)
O 0.500 0.142 0.946 (multiplicity 4)
O 0.500 0.146 0.376 (multiplicity 4)
O 0.500 0.212 0.160 (multiplicity 4)
O 0.500 0.212 0.513 (multiplicity 4)
O 0.500 0.214 0.803 (multiplicity 4)

Peak list (10 most intense, 10° ≤ 2θ ≤ 80°, sorted by position)
| 2θ/deg | I (rel.) | (hkl) |
| --- | --- | --- |
| 15.2 | 50.3 | 0 1 3 |
| 21.5 | 35.7 | 0 4 2 |
| 22.5 | 57.3 | 1 0 0 |
| 24.6 | 45.9 | 0 1 5 |
| 27.2 | 36.2 | 1 3 1 |
| 28.2 | 71.3 | 0 3 5 |
| 30.6 | 40.6 | 0 2 6 |
| 31.3 | 100.0 | 1 2 4 |
| 33.5 | 40.0 | 1 1 5 |
| 45.8 | 40.1 | 2 0 0 |



This entry pairs a crystal structure of KNb3O7 with its computed XRD peak list. Radiation: Cu Kα (λ = 1.5418 Å). Structure: the PBE geometry in Alexandria.
Kinematic intensities with the Lorentz-polarization factor, no thermal factor.

Lattice parameters (Å, degrees): 6.854 12.137 3.825 90.00 90.00 90.00
Space group Cmmm (No. 65)
Symmetry-distinct sites (fractional):
K 0.000 0.000 0.000 (multiplicity 2)
Nb 0.000 0.265 0.000 (multiplicity 4)
Nb 0.000 0.500 0.000 (multiplicity 2)
O 0.000 0.220 0.500 (multiplicity 4)
O 0.000 0.500 0.500 (multiplicity 2)
O 0.218 0.366 0.000 (multiplicity 8)

Peak list (10 most intense, 10° ≤ 2θ ≤ 80°, sorted by position)
| 2θ/deg | I (rel.) | (hkl) |
| --- | --- | --- |
| 14.8 | 41.4 | 1 1 0 |
| 23.3 | 100.0 | 0 0 1 |
| 26.0 | 62.8 | 2 0 0 |
| 29.4 | 38.0 | 0 4 0 |
| 35.2 | 26.0 | 2 0 1 |
| 37.8 | 19.8 | 0 4 1 |
| 39.7 | 66.8 | 2 4 0 |
| 46.5 | 53.9 | 2 4 1 |
| 47.5 | 21.7 | 0 0 2 |
| 63.6 | 28.8 | 2 4 2 |



This entry pairs a crystal structure of KNb8O14 with its computed XRD peak list. Radiation: Cu Kα (λ = 1.5418 Å). Structure: the PBE geometry in Alexandria.
Kinematic intensities with the Lorentz-polarization factor, no thermal factor.

Lattice parameters (Å, degrees): 9.486 10.394 5.986 90.00 90.00 90.00
Space group Pbam (No. 55)
Symmetry-distinct sites (fractional):
K 0.000 0.000 0.000 (multiplicity 2)
Nb 0.111 0.163 0.500 (multiplicity 4)
Nb 0.121 0.666 0.000 (multiplicity 4)
Nb 0.127 0.424 0.236 (multiplicity 8)
O 0.000 0.000 0.500 (multiplicity 2)
O 0.000 0.500 0.500 (multiplicity 2)
O 0.004 0.248 0.249 (multiplicity 8)
O 0.233 0.323 0.500 (multiplicity 4)
O 0.247 0.089 0.254 (multiplicity 8)
O 0.248 0.842 0.000 (multiplicity 4)

Peak list (10 most intense, 10° ≤ 2θ ≤ 80°, sorted by position)
| 2θ/deg | I (rel.) | (hkl) |
| --- | --- | --- |
| 12.6 | 84.8 | 1 1 0 |
| 25.4 | 94.1 | 2 1 1 |
| 31.3 | 54.7 | 1 3 1 |
| 32.0 | 37.8 | 2 3 0 |
| 32.5 | 37.4 | 1 1 2 |
| 35.9 | 64.5 | 1 4 0 |
| 45.2 | 100.0 | 3 4 0 |
| 50.3 | 38.7 | 2 1 3 |
| 52.3 | 36.1 | 4 2 2 |
| 61.9 | 33.5 | 0 6 2 |